Calculated powder XRD pattern of UB4W for λ = 1.5418 Å (Cu Kα), from a cell relaxed with GGA-PBE.
No peak broadening, texture or thermal motion is included.

Peak list (10 most intense, 2θ from 15° to 90°, in order of rising 2θ)
24.40°, intensity 100, (0 0 1)
30.90°, intensity 69, (2 2 0)
31.08°, intensity 50, (1 3 0)
37.94°, intensity 27, (3 1 0)
39.76°, intensity 81, (2 2 1)
39.90°, intensity 60, (1 3 1)
45.63°, intensity 36, (3 1 1)
50.00°, intensity 21, (0 0 2)
59.95°, intensity 22, (2 2 2)
67.96°, intensity 28, (3 5 1)

Atomic structure:
Cell lengths 7.353, 9.381, 3.648 Å; angles 90.00, 90.00, 90.00 degrees
Space group Cmmm (No. 65)
Unique sites:
U  0.000  0.199  0.000 [4 per cell]
B  0.000  0.406  0.500 [4 per cell]
B  0.118  0.000  0.500 [4 per cell]
B  0.224  0.340  0.500 [8 per cell]
W  0.182  0.500  0.000 [4 per cell]

Calculated powder XRD pattern of SmMgF4 for λ = 1.5418 Å (Cu Kα), from a cell relaxed with GGA-PBE.
No peak broadening, texture or thermal motion is included.

Peak list (10 most intense, 2θ from 15° to 90°, in order of rising 2θ)
19.05°, intensity 37, (0 2 1)
27.50°, intensity 89, (0 4 1)
28.51°, intensity 100, (1 1 1)
28.93°, intensity 52, (1 3 0)
30.83°, intensity 20, (0 0 2)
42.79°, intensity 52, (1 3 2)
47.50°, intensity 20, (2 0 0)
48.99°, intensity 40, (1 5 2)
49.78°, intensity 30, (1 7 1)
55.77°, intensity 24, (2 4 1)

Atomic structure:
Cell lengths 3.828, 15.651, 5.800 Å; angles 90.00, 90.00, 90.00 degrees
Space group Cmcm (No. 63)
Unique sites:
Sm  0.000  0.179  0.250 [4 per cell]
Mg  0.000  0.420  0.250 [4 per cell]
F  0.000  0.110  0.750 [4 per cell]
F  0.000  0.307  0.011 [8 per cell]
F  0.000  0.500  0.000 [4 per cell]

Calculated powder XRD pattern of Pr2CdAg for λ = 1.5418 Å (Cu Kα), from a cell relaxed with GGA-PBE.
No peak broadening, texture or thermal motion is included.

Peak list (8 most intense, 2θ from 15° to 90°, in order of rising 2θ)
23.14°, intensity 1, (2 0 0)
32.96°, intensity 100, (2 2 0)
47.31°, intensity 18, (4 0 0)
53.30°, intensity 1, (4 2 0)
58.86°, intensity 37, (4 2 2)
69.14°, intensity 11, (4 4 0)
78.75°, intensity 16, (6 2 0)
88.04°, intensity 4, (4 4 4)

Atomic structure:
Cell lengths 7.686, 7.686, 7.686 Å; angles 90.00, 90.00, 90.00 degrees
Space group Fm-3m (No. 225)
Unique sites:
Pr  0.250  0.250  0.250 [8 per cell]
Cd  0.000  0.000  0.000 [4 per cell]
Ag  0.000  0.000  0.500 [4 per cell]

Calculated powder XRD pattern of Nd2Th8O19 for λ = 1.5418 Å (Cu Kα), from a cell relaxed with GGA-PBE.
No peak broadening, texture or thermal motion is included.

Peak list (10 most intense, 2θ from 15° to 90°, in order of rising 2θ)
27.46°, intensity 100, (1 0 5)
31.81°, intensity 37, (1 1 0)
45.61°, intensity 50, (2 0 0)
54.06°, intensity 47, (2 1 5)
56.68°, intensity 11, (2 0 10)
66.53°, intensity 5, (2 2 0)
73.36°, intensity 19, (3 0 5)
75.63°, intensity 10, (3 1 0)
84.27°, intensity 5, (2 0 20)
84.37°, intensity 11, (3 1 10)

Atomic structure:
Cell lengths 3.975, 3.975, 28.167 Å; angles 90.00, 90.00, 90.00 degrees
Space group P-4m2 (No. 115)
Unique sites:
Nd  0.000  0.500  0.056 [2 per cell]
Th  0.000  0.500  0.250 [2 per cell]
Th  0.000  0.500  0.450 [2 per cell]
Th  0.000  0.500  0.650 [2 per cell]
Th  0.000  0.500  0.850 [2 per cell]
O  0.000  0.000  0.000 [1 per cell]
O  0.000  0.000  0.105 [2 per cell]
O  0.000  0.000  0.203 [2 per cell]
O  0.000  0.000  0.300 [2 per cell]
O  0.000  0.000  0.400 [2 per cell]
O  0.000  0.000  0.500 [1 per cell]
O  0.500  0.500  0.096 [2 per cell]
O  0.500  0.500  0.198 [2 per cell]
O  0.500  0.500  0.300 [2 per cell]
O  0.500  0.500  0.400 [2 per cell]
O  0.500  0.500  0.500 [1 per cell]

Calculated powder XRD pattern of RbReN2 for λ = 1.5418 Å (Cu Kα), from a cell relaxed with GGA-PBE.
No peak broadening, texture or thermal motion is included.

Peak list (10 most intense, 2θ from 15° to 90°, in order of rising 2θ)
17.93°, intensity 21, (1 1 0)
18.05°, intensity 22, (1 0 2)
27.20°, intensity 19, (2 1 1)
28.59°, intensity 14, (0 2 0)
28.90°, intensity 37, (0 0 4)
29.51°, intensity 15, (0 2 1)
30.00°, intensity 100, (2 1 2)
34.20°, intensity 14, (2 1 3)
51.91°, intensity 22, (2 1 6)
54.12°, intensity 13, (4 0 4)

Atomic structure:
Cell lengths 8.106, 6.245, 12.357 Å; angles 90.00, 90.00, 90.00 degrees
Space group Pbcm (No. 57)
Unique sites:
Rb  0.115  0.104  0.250 [4 per cell]
Rb  0.370  0.250  0.000 [4 per cell]
Re  0.129  0.750  0.000 [4 per cell]
Re  0.383  0.655  0.250 [4 per cell]
N  0.000  0.000  0.000 [4 per cell]
N  0.263  0.710  0.124 [8 per cell]
N  0.447  0.138  0.750 [4 per cell]